Starting from the GGA-PBE geometry in the Materials Project, the PXRD pattern of U2AuF11 was computed for Cu Kα, 1.54184 Å.
Kinematic intensities with the Lorentz-polarization factor, no thermal factor.

```
U2AuF11
1.0
-5.618 5.618 3.186
5.618 -5.618 3.186
5.618 5.618 -3.186
U Au F
4 2 22
Direct
0.145 0.645 0.789
0.355 0.145 0.500
0.645 0.855 0.500
0.855 0.355 0.211
0.000 0.000 0.000
0.500 0.500 0.000
0.000 0.000 0.500
0.000 0.500 0.000
0.000 0.500 0.500
0.072 0.750 0.322
0.097 0.831 0.928
0.169 0.097 0.267
0.250 0.572 0.322
0.250 0.928 0.678
0.331 0.597 0.928
0.403 0.331 0.733
0.428 0.750 0.678
0.500 0.000 0.000
0.500 0.000 0.500
0.500 0.500 0.500
0.572 0.250 0.322
0.597 0.669 0.267
0.669 0.403 0.072
0.750 0.072 0.322
0.750 0.428 0.678
0.831 0.903 0.733
0.903 0.169 0.072
0.928 0.250 0.678
```

Top 10 peaks for 2θ = 10–90°, by intensity:
Position (°2θ), d [Å], Rel. int.
22.5, 3.946, 100
25.1, 3.553, 51
45.7, 1.984, 38
37.9, 2.372, 29
28.0, 3.186, 23
46.0, 1.973, 18
46.4, 1.957, 15
54.4, 1.686, 12
70.3, 1.339, 12
62.4, 1.489, 11